(1)
Computed XRD peak list
Compound: YP3O9
Radiation: CuKα
Structure: a crystal structure in the Materials Project, relaxed with GGA-PBE
Neutral-atom scattering factors, no anomalous dispersion.

Peak list (10 most intense, 15 to 90 degrees two-theta, low angle first)
| two_theta | intensity | h k l |
| --- | --- | --- |
| 18.69 | 100 | 0 1 -1 |
| 20.11 | 58 | 1 0 -1 |
| 22.88 | 95 | 1 1 2 |
| 23.66 | 49 | 1 -1 1 |
| 23.98 | 47 | 1 2 1 |
| 24.13 | 53 | -1 1 1 |
| 26.34 | 71 | 2 1 1 |
| 27.88 | 65 | 2 1 0 |
| 29.76 | 84 | 0 2 -1 |
| 47.28 | 46 | -1 3 2 |

Cell and atoms:
a b c (Å): 6.858 7.732 8.272
angles (deg): 72.90 72.44 71.85
Space group P1 (No. 1)
One atom of each set of equivalent atoms:
Y: 0.000 0.000 0.000 (multiplicity 1)
Y: 0.344 0.393 0.691 (multiplicity 1)
P: 0.062 0.228 0.364 (multiplicity 1)
P: 0.356 0.882 0.456 (multiplicity 1)
P: 0.417 0.139 0.112 (multiplicity 1)
P: 0.535 0.922 0.714 (multiplicity 1)
P: 0.793 0.712 0.828 (multiplicity 1)
P: 0.870 0.417 0.662 (multiplicity 1)
O: 0.013 0.262 0.764 (multiplicity 1)
O: 0.157 0.051 0.506 (multiplicity 1)
O: 0.270 0.283 0.235 (multiplicity 1)
O: 0.291 0.163 0.982 (multiplicity 1)
O: 0.308 0.698 0.528 (multiplicity 1)
O: 0.327 0.887 0.828 (multiplicity 1)
O: 0.412 0.936 0.250 (multiplicity 1)
O: 0.431 0.321 0.457 (multiplicity 1)
O: 0.545 0.899 0.516 (multiplicity 1)
O: 0.586 0.107 0.684 (multiplicity 1)
O: 0.637 0.447 0.707 (multiplicity 1)
O: 0.639 0.154 0.053 (multiplicity 1)
O: 0.702 0.576 0.976 (multiplicity 1)
O: 0.932 0.179 0.280 (multiplicity 1)
O: 0.933 0.603 0.658 (multiplicity 1)
O: 0.936 0.817 0.845 (multiplicity 1)
O: 0.944 0.790 0.230 (multiplicity 1)
O: 0.960 0.394 0.460 (multiplicity 1)

---

(2)
Computed XRD peak list
Compound: Hf3Ti2Ga3
Radiation: CuKα
Structure: a crystal structure in the Materials Project, relaxed with GGA-PBE
Neutral-atom scattering factors, no anomalous dispersion.

Peak list (10 most intense, 15 to 90 degrees two-theta, low angle first)
| two_theta | intensity | h k l |
| --- | --- | --- |
| 22.54 | 11 | 1 1 0 |
| 27.90 | 17 | 1 1 1 |
| 32.80 | 26 | 0 0 2 |
| 34.74 | 20 | 2 1 0 |
| 38.57 | 100 | 2 1 1 |
| 39.57 | 12 | 3 0 0 |
| 40.16 | 25 | 1 1 2 |
| 61.55 | 13 | 3 2 1 |
| 62.41 | 24 | 2 1 3 |
| 64.33 | 14 | 4 0 2 |

Cell and atoms:
a b c (Å): 7.8891 7.8891 5.4614
angles (deg): 90.00 90.00 120.00
Space group P6_3/mcm (No. 193)
One atom of each set of equivalent atoms:
Hf: 0.0000 0.2423 0.2500 (multiplicity 6)
Ti: 0.3333 0.6667 0.0000 (multiplicity 4)
Ga: 0.0000 0.3993 0.7500 (multiplicity 6)